# PmSe3O12
Theoretical PXRD pattern, Cu Kα (λ = 1.5418 Å). Input: a DFT-relaxed cell (GGA-PBE, Alexandria).
Lines closer than 0.1° are merged.

Peak list (10 most intense, 15 to 90 degrees two-theta, by angle)
h k l	2theta	I/Imax
1 1 1	23.0	79
2 0 1	25.3	100
2 1 0	27.9	32
0 0 2	28.2	33
1 2 1	31.4	41
1 2 2	40.1	20
3 0 2	43.0	23
3 2 1	49.2	36
1 4 2	57.9	15
3 2 3	65.4	18

Atomic structure:
```
32
Lattice="9.756 0.000 0.000 -4.878 8.449 0.000 0.000 0.000 6.331" Properties=species:S:1:pos:R:3 pbc="T T T"
Pm 0.000 5.633 1.583
Pm 4.878 2.816 4.748
Se -2.507 5.924 4.748
Se 1.001 3.316 4.748
Se 3.373 0.791 1.583
Se 1.505 7.658 4.748
Se 3.877 5.133 1.583
Se 7.385 2.525 1.583
O -3.790 6.984 4.748
O -1.936 4.133 1.583
O 0.725 1.675 4.748
O 1.813 0.210 1.583
O -1.563 6.264 3.403
O -1.563 6.264 6.094
O 0.235 3.963 3.403
O 0.235 3.963 6.094
O -0.330 8.059 1.583
O 3.550 1.778 0.237
O 3.550 1.778 2.928
O 2.611 3.744 4.748
O 2.267 4.706 1.583
O 1.329 6.671 3.403
O 1.329 6.671 6.094
O 5.209 0.390 4.748
O 4.643 4.486 0.237
O 4.643 4.486 2.928
O 6.441 2.185 0.237
O 6.441 2.185 2.928
O 3.065 8.239 4.748
O 4.153 6.774 1.583
O 6.814 4.316 4.748
O 8.668 1.465 1.583
```